Diffraction record for ScRu2Cl. The powder X-ray diffraction pattern is theoretical, not measured: it uses a cell relaxed with GGA-PBE and Cu Kα (weighted mean of Kα1 and Kα2).

Main lines, most intense first (10 to 80 degrees two-theta):
39.6°, I = 100, hkl 1 1 2
16.4°, I = 43, hkl 0 0 2
33.2°, I = 41, hkl 0 0 4
62.6°, I = 24, hkl 2 0 4
63.6°, I = 23, hkl 1 1 6
51.4°, I = 23, hkl 2 0 0
35.7°, I = 13, hkl 1 1 0
49.5°, I = 11, hkl 1 1 4

Structure:
a = 3.5532 Å, b = 3.5532 Å, c = 10.8043 Å
α = 90.00°, β = 90.00°, γ = 90.00°
Sites, in units of the cell vectors:
Sc: 0.0000 0.0000 0.0000
Sc: 0.5000 0.5000 0.5000
Ru: 0.0000 0.5000 0.2500
Ru: 0.0000 0.5000 0.7500
Ru: 0.5000 0.0000 0.2500
Ru: 0.5000 0.0000 0.7500
Cl: 0.0000 0.0000 0.5000
Cl: 0.5000 0.5000 0.0000